Diffraction record for Li5MnCo2O8. The powder XRD pattern is simulated, not measured: it uses a cell relaxed with GGA+U and a wavelength of 1.5418 Å.
Neutral-atom scattering factors, no anomalous dispersion.

Main lines, most intense first (10° ≤ 2θ ≤ 90°):
hkl 1 0 -1, 2θ = 18.4°, intensity 100.0
hkl 2 1 0, 2θ = 43.8°, intensity 89.6
hkl 1 1 1, 2θ = 36.3°, intensity 27.9
hkl 2 1 -4, 2θ = 63.4°, intensity 15.5
hkl 0 0 1, 2θ = 10.7°, intensity 14.4
hkl 2 1 4, 2θ = 63.9°, intensity 13.8
hkl 1 0 2, 2θ = 26.4°, intensity 13.1
hkl 1 0 0, 2θ = 15.0°, intensity 11.7

Cell: 5.911 2.893 8.272 Å, 90.00 90.58 90.00°
Space group P2/m (No. 10)
Inequivalent atoms, fractional coordinates:
Li1 0.000 0.000 0.000
Li2 0.000 0.000 0.500
Li3 0.244 0.500 0.263
Li4 0.500 0.000 0.500
Mn1 0.500 0.000 0.000
Co1 0.239 0.500 0.728
O1 0.021 0.000 0.756
O2 0.254 0.500 0.513
O3 0.280 0.500 0.000
O4 0.483 0.000 0.766

=====

Diffraction record for Li7Mn2Co3O12. The powder XRD pattern is simulated, not measured: it uses a cell relaxed with GGA+U and a wavelength of 1.5418 Å.
Neutral-atom scattering factors, no anomalous dispersion.

Main lines, most intense first (10° ≤ 2θ ≤ 90°):
hkl 0 1 1, 2θ = 18.3°, intensity 100.0
hkl -2 1 1, 2θ = 43.8°, intensity 56.5
hkl 1 2 -1, 2θ = 43.1°, intensity 29.8
hkl 2 0 0, 2θ = 36.2°, intensity 25.8
hkl 3 1 -2, 2θ = 63.5°, intensity 15.3
hkl 1 1 -2, 2θ = 35.7°, intensity 13.4
hkl 0 0 1, 2θ = 10.5°, intensity 10.8
hkl 1 -1 2, 2θ = 37.6°, intensity 10.0

Cell: 5.049 5.164 8.780 Å, 73.07 84.66 79.95°
Space group P1 (No. 1)
Inequivalent atoms, fractional coordinates:
Li1 0.000 0.000 0.000
Li2 0.001 0.655 0.350
Li3 0.004 0.325 0.666
Li4 0.251 0.080 0.423
Li5 0.490 0.487 0.510
Li6 0.492 0.830 0.180
Li7 0.504 0.168 0.832
Mn1 0.246 0.407 0.091
Mn2 0.747 0.243 0.259
Co1 0.243 0.751 0.746
Co2 0.743 0.927 0.584
Co3 0.744 0.584 0.912
O1 0.106 0.074 0.207
O2 0.117 0.707 0.561
O3 0.126 0.383 0.893
O4 0.368 0.752 0.964
O5 0.387 0.446 0.281
O6 0.392 0.097 0.636
O7 0.607 0.219 0.059
O8 0.631 0.548 0.720
O9 0.645 0.901 0.372
O10 0.855 0.283 0.452
O11 0.876 0.938 0.800
O12 0.883 0.588 0.126